Simulated X-ray diffraction stick pattern
Compound: MgPd3Pt6
Radiation: CuKα
Structure: a structure optimized by DFT (GGA-PBE)
Kinematic intensities with the Lorentz-polarization factor, no thermal factor.

Atomic structure:
Unit cell a=8.8465 b=3.9663 c=8.8472 alpha=90.00 beta=90.24 gamma=90.00
Sites, in units of the cell vectors:
Mg: 0.1072 0.2500 0.0544
Mg: 0.8928 0.7500 0.9456
Pd: 0.1015 0.7500 0.5502
Pd: 0.2987 0.2500 0.6512
Pd: 0.4974 0.7500 0.7497
Pd: 0.5026 0.2500 0.2503
Pd: 0.7013 0.7500 0.3488
Pd: 0.8985 0.2500 0.4498
Pt: 0.0017 0.2500 0.7555
Pt: 0.1945 0.7500 0.8547
Pt: 0.1986 0.2500 0.3489
Pt: 0.2963 0.7500 0.1503
Pt: 0.3991 0.2500 0.9511
Pt: 0.4007 0.7500 0.4479
Pt: 0.5993 0.2500 0.5521
Pt: 0.6009 0.7500 0.0489
Pt: 0.7037 0.2500 0.8497
Pt: 0.8014 0.7500 0.6511
Pt: 0.8055 0.2500 0.1453
Pt: 0.9983 0.7500 0.2445

Peak list (10 most intense, 2θ from 10° to 90°, sorted by position)
d_spacing	I/Imax	(hkl)
3.963	9	1 0 -2
2.799	7	2 1 1
2.286	100	1 1 3
1.982	33	0 2 0
1.975	16	4 0 2
1.401	16	2 2 -4
1.399	11	4 2 2
1.195	19	1 3 3
1.194	6	1 1 -7
1.192	6	7 1 1